[1]
For LaY4Er4, DFT lattice parameters and positions (PBE) gives the theoretical powder diffractogram in this record (Cu Kα (λ = 1.5418 Å)).
Peak positions follow from Bragg's law for the DFT cell and can differ from measured ones.

Main lines, in order of falling intensity (5° ≤ 2θ ≤ 70°):
- 2θ = 31.90°, intensity 100, hkl 2 -1 0
- 2θ = 31.70°, intensity 100, hkl 2 2 0
- 2θ = 32.20°, intensity 94, hkl 0 3 0
- 2θ = 29.90°, intensity 93, hkl 1 2 3
- 2θ = 31.43°, intensity 57, hkl 1 -1 3
- 2θ = 31.35°, intensity 57, hkl 0 2 3
- 2θ = 32.49°, intensity 55, hkl 1 0 -3
- 2θ = 32.59°, intensity 54, hkl 2 1 3

Cell lengths 6.758, 8.696, 10.668 Å; angles 78.15, 74.93, 76.04 degrees
Space group P-1 (No. 2)
Inequivalent atoms, fractional coordinates:
La 0.240 0.460 0.217
Y 0.074 0.172 0.791
Y 0.079 0.162 0.125
Y 0.246 0.479 0.545
Y 0.254 0.475 0.879
Er 0.085 0.160 0.462
Er 0.382 0.839 0.629
Er 0.390 0.844 0.960
Er 0.394 0.841 0.298

---

[2]
For Tb3Dy4Y3, DFT lattice parameters and positions (PBE) gives the theoretical powder diffractogram in this record (Cu Kα (λ = 1.5418 Å)).
Peak positions follow from Bragg's law for the DFT cell and can differ from measured ones.

Main lines, in order of falling intensity (5° ≤ 2θ ≤ 70°):
- 2θ = 32.21°, intensity 100, hkl 1 1 3
- 2θ = 30.34°, intensity 70, hkl 0 4 2
- 2θ = 30.70°, intensity 28, hkl 1 2 2
- 2θ = 58.57°, intensity 22, hkl 2 4 2
- 2θ = 38.95°, intensity 20, hkl 1 2 4
- 2θ = 56.05°, intensity 19, hkl 1 4 6
- 2θ = 58.84°, intensity 17, hkl 1 7 3
- 2θ = 34.72°, intensity 15, hkl 0 1 5

Cell lengths 3.731, 13.183, 13.168 Å; angles 90.00, 90.00, 90.00 degrees
Space group Amm2 (No. 38)
Inequivalent atoms, fractional coordinates:
Tb 0.000 0.000 0.000
Tb 0.500 0.249 0.579
Dy 0.500 0.000 0.201
Dy 0.500 0.000 0.455
Dy 0.500 0.127 0.829
Y 0.000 0.000 0.657
Y 0.000 0.172 0.329

---

[3]
For Ba2PmAl2O6, DFT lattice parameters and positions (PBE) gives the theoretical powder diffractogram in this record (Cu Kα (λ = 1.5418 Å)).
Peak positions follow from Bragg's law for the DFT cell and can differ from measured ones.

Main lines, in order of falling intensity (5° ≤ 2θ ≤ 70°):
- 2θ = 29.46°, intensity 100, hkl 0 1 5
- 2θ = 29.96°, intensity 86, hkl 1 1 0
- 2θ = 17.81°, intensity 47, hkl 1 0 1
- 2θ = 42.52°, intensity 39, hkl 2 0 5
- 2θ = 52.88°, intensity 39, hkl 1 2 5
- 2θ = 25.68°, intensity 25, hkl 1 0 4
- 2θ = 39.86°, intensity 22, hkl 0 2 4
- 2θ = 51.95°, intensity 21, hkl 1 0 10

Cell lengths 5.9652, 5.9652, 18.7218 Å; angles 90.00, 90.00, 120.00 degrees
Space group R-3m (No. 166, hexagonal axes)
Inequivalent atoms, fractional coordinates:
Ba 0.0000 0.0000 0.2054
Pm 0.0000 0.0000 0.0000
Al 0.0000 0.0000 0.4093
O 0.0009 0.5005 0.2452

---

[4]
For CsSiHgTe3, DFT lattice parameters and positions (PBE) gives the theoretical powder diffractogram in this record (Cu Kα (λ = 1.5418 Å)).
Peak positions follow from Bragg's law for the DFT cell and can differ from measured ones.

Main lines, in order of falling intensity (5° ≤ 2θ ≤ 70°):
- 2θ = 25.80°, intensity 100, hkl 2 2 -1
- 2θ = 26.36°, intensity 34, hkl 4 0 -1
- 2θ = 24.80°, intensity 28, hkl 2 2 0
- 2θ = 27.86°, intensity 28, hkl 2 0 2
- 2θ = 13.25°, intensity 24, hkl 2 0 0
- 2θ = 37.77°, intensity 20, hkl 4 2 1
- 2θ = 38.92°, intensity 20, hkl 0 2 3
- 2θ = 46.77°, intensity 18, hkl 6 2 -2

Cell lengths 13.738, 8.510, 8.501 Å; angles 90.00, 103.32, 90.00 degrees
Space group C2/m (No. 12)
Inequivalent atoms, fractional coordinates:
Cs 0.160 0.000 0.234
Si 0.010 0.500 0.865
Hg 0.000 0.294 0.500
Te 0.103 0.251 0.818
Te 0.154 0.500 0.341